Cu12Mo3S5O36: theoretical XRD peak list (Cu Kα (weighted mean of Kα1 and Kα2)), based on a DFT-relaxed cell (GGA+U, the Materials Project).
Neutral-atom scattering factors, no anomalous dispersion.

Structure:
a = 7.4857 Å, b = 6.8274 Å, c = 13.6945 Å
α = 90.00°, β = 90.02°, γ = 90.00°
Fractional positions:
Cu: 0.0000 0.0000 0.0000
Cu: 0.0016 0.5000 0.2774
Cu: 0.1770 0.2539 0.8454
Cu: 0.1770 0.7461 0.8454
Cu: 0.3321 0.5000 0.6801
Cu: 0.3515 0.0000 0.3922
Cu: 0.5213 0.5000 0.8948
Cu: 0.5239 0.0000 0.1790
Cu: 0.6782 0.2503 0.3387
Cu: 0.6782 0.7497 0.3387
Cu: 0.8347 0.5000 0.4971
Cu: 0.8534 0.0000 0.7868
Mo: 0.4299 0.0000 0.6526
Mo: 0.4305 0.5000 0.1507
Mo: 0.9294 0.0000 0.5255
S: 0.0120 0.0000 0.2385
S: 0.3464 0.5000 0.4400
S: 0.5078 0.0000 0.9388
S: 0.8486 0.5000 0.7411
S: 0.9193 0.5000 0.0224
O: 0.0288 0.3224 0.9937
O: 0.0288 0.6776 0.9937
O: 0.0715 0.0000 0.8662
O: 0.1379 0.0000 0.4638
O: 0.1504 0.5000 0.4323
O: 0.2088 0.0000 0.2479
O: 0.2208 0.5000 0.2113
O: 0.2897 0.5000 0.8221
O: 0.3052 0.2195 0.6861
O: 0.3052 0.7805 0.6861
O: 0.3928 0.5000 0.0234
O: 0.4106 0.5000 0.5428
O: 0.4209 0.3232 0.3887
O: 0.4209 0.6768 0.3887
O: 0.4331 0.1770 0.8883
O: 0.4331 0.8230 0.8883
O: 0.4488 0.0000 0.0419
O: 0.4782 0.0000 0.5266
O: 0.5526 0.2806 0.1878
O: 0.5526 0.7194 0.1878
O: 0.5746 0.0000 0.3202
O: 0.6389 0.0000 0.7146
O: 0.6513 0.5000 0.7543
O: 0.7047 0.0000 0.9290
O: 0.7481 0.5000 0.9681
O: 0.7841 0.5000 0.3537
O: 0.8053 0.2197 0.4904
O: 0.8053 0.7803 0.4904
O: 0.8809 0.5000 0.1276
O: 0.9002 0.5000 0.6370
O: 0.9256 0.3220 0.7895
O: 0.9256 0.6780 0.7895
O: 0.9374 0.1779 0.2888
O: 0.9374 0.8221 0.2888
O: 0.9503 0.0000 0.1361
O: 0.9773 0.0000 0.6513

Top 10 peaks for 5° ≤ 2θ ≤ 70°, sorted by position:
two_theta, Rel. int.
23.8, 31.4
24.7, 35.7
26.1, 69.3
27.2, 43.0
28.7, 100.0
29.5, 55.3
34.9, 40.6
35.6, 58.0
39.2, 33.7
41.2, 29.6